Starting from DFT lattice parameters and positions (GGA+U), the X-ray powder pattern of Ta5Mn3O16 was computed for Cu Kα (weighted mean of Kα1 and Kα2).
Intensities are scaled so that the largest is 100.

Most intense lines, 5 to 70 degrees two-theta, by angle:
two_theta, I_rel
16.01, 25
18.29, 56
18.81, 100
19.09, 33
25.28, 34
33.24, 55
33.58, 26
34.40, 25
34.73, 56
58.23, 31

Structure:
```
data_Ta5Mn3O16
_chemical_formula_sum 'Ta5 Mn3 O16'
_cell_length_a 6.343
_cell_length_b 6.343
_cell_length_c 9.434
_cell_angle_alpha 91.83
_cell_angle_beta 91.83
_cell_angle_gamma 58.32
_symmetry_space_group_name_H-M 'P 1'
_symmetry_Int_Tables_number 1
loop_
_symmetry_equiv_pos_as_xyz
'x,y,z'
loop_
_atom_site_label
_atom_site_fract_x
_atom_site_fract_y
_atom_site_fract_z
Ta1 0.000 0.000 0.000
Ta2 0.327 0.327 0.519
Ta3 0.339 0.839 0.289
Ta4 0.504 0.504 0.776
Ta5 0.839 0.339 0.289
Mn1 0.008 0.501 0.805
Mn2 0.501 0.008 0.805
Mn3 0.843 0.843 0.298
O1 0.025 0.485 0.396
O2 0.030 0.030 0.402
O3 0.149 0.149 0.164
O4 0.167 0.736 0.159
O5 0.208 0.208 0.655
O6 0.220 0.631 0.644
O7 0.309 0.834 0.898
O8 0.354 0.354 0.890
O9 0.485 0.025 0.396
O10 0.507 0.507 0.389
O11 0.631 0.220 0.644
O12 0.665 0.665 0.192
O13 0.671 0.671 0.711
O14 0.736 0.167 0.159
O15 0.834 0.309 0.898
O16 0.845 0.845 0.911
```